This entry pairs a crystal structure of Th4Ge8Mo with its computed X-ray diffraction stick pattern. Radiation: copper Kα. Structure: the PBE geometry in Alexandria.
Peak positions follow from Bragg's law for the DFT cell and can differ from measured ones.

Crystal structure
abc: 4.118 4.218 17.127
angles: 90.00 90.00 90.00
Space group Pmm2 (No. 25)
Symmetry-distinct sites (fractional):
Th 0.000 0.000 0.000 (multiplicity 1)
Th 0.000 0.500 0.486 (multiplicity 1)
Th 0.500 0.000 0.779 (multiplicity 1)
Th 0.500 0.500 0.278 (multiplicity 1)
Ge 0.000 0.000 0.332 (multiplicity 1)
Ge 0.000 0.000 0.619 (multiplicity 1)
Ge 0.000 0.500 0.139 (multiplicity 1)
Ge 0.000 0.500 0.854 (multiplicity 1)
Ge 0.500 0.000 0.139 (multiplicity 1)
Ge 0.500 0.000 0.431 (multiplicity 1)
Ge 0.500 0.500 0.617 (multiplicity 1)
Ge 0.500 0.500 0.945 (multiplicity 1)
Mo 0.000 0.500 0.706 (multiplicity 1)

Top 8 peaks for 2θ = 10–90°, in order of falling intensity:
- (1 1 3), 34.24°, intensity 100
- (0 1 5), 33.71°, intensity 28
- (1 0 2), 23.98°, intensity 28
- (1 0 6), 38.37°, intensity 22
- (0 2 0), 42.88°, intensity 20
- (2 0 0), 43.97°, intensity 19
- (1 1 1), 30.79°, intensity 15
- (0 1 3), 26.27°, intensity 13